[1]
Diffraction record for La7SmMn7FeO24. The powder diffraction line list is computed, not measured: it uses DFT lattice parameters and positions (GGA+U) and λ = 1.5418 Å (Cu Kα).

Peak list (12 most intense, 10° ≤ 2θ ≤ 90°, in order of rising 2θ)
2θ = 22.56°, rel. 15; 2θ = 32.12°, rel. 100; 2θ = 39.61°, rel. 20; 2θ = 46.07°, rel. 33; 2θ = 51.88°, rel. 8; 2θ = 57.27°, rel. 38; 2θ = 67.19°, rel. 19; 2θ = 71.88°, rel. 4; 2θ = 76.44°, rel. 16; 2θ = 80.91°, rel. 7; 2θ = 85.33°, rel. 6; 2θ = 89.72°, rel. 2

Crystal structure
```
data_La7SmMn7FeO24
_cell_length_a 7.881
_cell_length_b 7.881
_cell_length_c 7.881
_cell_angle_alpha 90.00
_cell_angle_beta 90.00
_cell_angle_gamma 90.00
_space_group_name_H-M_alt 'P 1'
_space_group_IT_number 1
_space_group_name_Hall 'P 1'
loop_
_atom_site_label
_atom_site_fract_x
_atom_site_fract_y
_atom_site_fract_z
La1 0.000 0.000 0.000
La2 0.000 0.000 0.502
La3 0.000 0.502 0.000
La4 0.000 0.502 0.502
La5 0.502 0.000 0.000
La6 0.502 0.000 0.502
La7 0.502 0.502 0.000
Sm1 0.502 0.502 0.502
Mn1 0.251 0.251 0.751
Mn2 0.251 0.751 0.251
Mn3 0.251 0.751 0.751
Mn4 0.751 0.251 0.251
Mn5 0.751 0.251 0.751
Mn6 0.751 0.751 0.251
Mn7 0.751 0.751 0.751
Fe1 0.251 0.251 0.251
O1 0.000 0.251 0.751
O2 0.000 0.751 0.251
O3 0.001 0.251 0.251
O4 0.003 0.751 0.751
O5 0.251 0.000 0.751
O6 0.251 0.001 0.251
O7 0.251 0.251 0.001
O8 0.251 0.751 0.000
O9 0.252 0.252 0.501
O10 0.252 0.501 0.252
O11 0.252 0.501 0.749
O12 0.252 0.749 0.501
O13 0.499 0.749 0.749
O14 0.501 0.252 0.252
O15 0.501 0.252 0.749
O16 0.501 0.749 0.252
O17 0.749 0.252 0.501
O18 0.749 0.499 0.749
O19 0.749 0.501 0.252
O20 0.749 0.749 0.499
O21 0.751 0.000 0.251
O22 0.751 0.003 0.751
O23 0.751 0.251 0.000
O24 0.751 0.751 0.003
```



[2]
Diffraction record for La7SmMn2Fe6O24. The powder diffraction line list is computed, not measured: it uses DFT lattice parameters and positions (GGA+U) and λ = 1.5418 Å (Cu Kα).

Peak list (12 most intense, 10° ≤ 2θ ≤ 90°, in order of rising 2θ)
2θ = 22.60°, rel. 21; 2θ = 32.01°, rel. 25; 2θ = 32.17°, rel. 100; 2θ = 32.38°, rel. 25; 2θ = 39.53°, rel. 14; 2θ = 39.84°, rel. 14; 2θ = 46.15°, rel. 49; 2θ = 57.18°, rel. 29; 2θ = 57.46°, rel. 9; 2θ = 57.62°, rel. 19; 2θ = 67.31°, rel. 19; 2θ = 76.62°, rel. 8

Crystal structure
```
data_La7SmMn2Fe6O24
_cell_length_a 7.864
_cell_length_b 7.864
_cell_length_c 7.875
_cell_angle_alpha 90.00
_cell_angle_beta 90.00
_cell_angle_gamma 90.63
_space_group_name_H-M_alt 'P 1'
_space_group_IT_number 1
_space_group_name_Hall 'P 1'
loop_
_atom_site_label
_atom_site_fract_x
_atom_site_fract_y
_atom_site_fract_z
La1 0.000 0.000 0.000
La2 0.000 0.000 0.486
La3 0.000 0.500 0.001
La4 0.000 0.500 0.492
La5 0.500 0.000 0.001
La6 0.500 0.000 0.492
La7 0.500 0.500 0.007
Sm1 0.500 0.500 0.489
Mn1 0.251 0.749 0.746
Mn2 0.749 0.251 0.746
Fe1 0.250 0.250 0.247
Fe2 0.251 0.251 0.746
Fe3 0.251 0.749 0.247
Fe4 0.749 0.251 0.247
Fe5 0.749 0.749 0.746
Fe6 0.750 0.750 0.247
O1 0.005 0.748 0.245
O2 0.005 0.749 0.746
O3 0.249 0.249 0.988
O4 0.251 0.504 0.251
O5 0.251 0.505 0.745
O6 0.251 0.749 0.502
O7 0.251 0.749 0.991
O8 0.251 0.995 0.746
O9 0.252 0.995 0.245
O10 0.253 0.253 0.505
O11 0.495 0.749 0.745
O12 0.496 0.749 0.251
O13 0.504 0.251 0.251
O14 0.505 0.251 0.745
O15 0.747 0.747 0.505
O16 0.748 0.005 0.245
O17 0.749 0.005 0.746
O18 0.749 0.251 0.502
O19 0.749 0.251 0.991
O20 0.749 0.495 0.745
O21 0.749 0.496 0.251
O22 0.751 0.751 0.988
O23 0.995 0.251 0.746
O24 0.995 0.252 0.245
```



- Which formula does entry 2 have?
  La7SmMn2Fe6O24